Diffraction record for RbAgB2Cl8. The powder XRD pattern is calculated, not measured: it uses a structure optimized by DFT (GGA-PBE) and a wavelength of 1.5418 Å.
Neutral-atom scattering factors, no anomalous dispersion.

Cell and atoms:
```
RbAgB2Cl8
1.0
3.0884 1.7831 9.3977
-3.0884 1.7831 9.3977
0.0000 -3.5662 9.3977
Rb Ag B Cl
1 1 2 8
Cartesian
0.0000 0.0000 0.0000
0.0000 0.0000 14.0966
0.0000 0.0000 6.9925
0.0000 0.0000 21.2006
-1.3202 -1.8537 12.4004
-2.2654 0.2164 15.7927
0.0000 0.0000 8.8562
-0.9453 2.0702 12.4004
0.9453 -2.0702 15.7927
0.0000 0.0000 19.3369
2.2655 -0.2164 12.4004
1.3202 1.8537 15.7927
```

Largest 8 diffraction maxima, by angle, 2θ = 10–90°:
20.85°, I 100; 28.91°, I 27; 30.44°, I 58; 34.76°, I 94; 35.97°, I 34; 46.77°, I 22; 48.70°, I 27; 51.23°, I 26